For AcZnAs2, the PBE geometry in Alexandria gives the calculated powder X-ray diffraction pattern in this record (Cu Kα, 1.54184 Å).

Atomic structure:
a = 4.331 Å, b = 4.331 Å, c = 10.354 Å
α = 90.00°, β = 90.00°, γ = 90.00°
Space group P4/nmm (No. 129, origin choice 2)
Asymmetric unit:
Ac (0.250, 0.250, 0.223)
Zn (0.250, 0.750, 0.500)
As (0.250, 0.250, 0.643)
As (0.250, 0.750, 0.000)

Most intense lines, 10 to 90 degrees two-theta, in order of falling intensity:
two_theta  I (rel.)
34.01  100
22.25  49
41.71  41
33.19  39
26.84  29
71.22  23
54.32  20
47.78  14
60.46  14
40.61  13

For Pm2Pr7Y, the PBE geometry in Alexandria gives the calculated powder X-ray diffraction pattern in this record (Cu Kα, 1.54184 Å).

Atomic structure:
a = 8.862 Å, b = 17.003 Å, c = 5.605 Å
α = 90.00°, β = 90.00°, γ = 90.00°
Space group Cmmm (No. 65)
Asymmetric unit:
Pm (0.000, 0.205, 0.000)
Pr (0.000, 0.000, 0.000)
Pr (0.000, 0.283, 0.500)
Pr (0.181, 0.389, 0.000)
Y (0.000, 0.500, 0.500)

Most intense lines, 10 to 90 degrees two-theta, in order of falling intensity:
two_theta  I (rel.)
32.41  100
15.81  57
29.11  54
34.73  53
31.93  50
43.75  39
57.23  28
26.31  27
60.47  25
61.25  24

For YErHf2N4, the PBE geometry in Alexandria gives the calculated powder X-ray diffraction pattern in this record (Cu Kα, 1.54184 Å).

Atomic structure:
a = 4.700 Å, b = 4.700 Å, c = 9.349 Å
α = 90.00°, β = 90.00°, γ = 90.00°
Space group I-4m2 (No. 119)
Asymmetric unit:
Y (0.000, 0.000, 0.000)
Er (0.000, 0.500, 0.250)
Hf (0.000, 0.000, 0.500)
Hf (0.000, 0.500, 0.750)
N (0.000, 0.000, 0.260)
N (0.000, 0.500, 0.508)

Most intense lines, 10 to 90 degrees two-theta, in order of falling intensity:
two_theta  I (rel.)
33.07  100
38.30  48
55.44  32
65.95  29
38.52  24
55.28  16
69.39  16
66.25  14
21.16  7
82.00  5

For Pm8CoOs3Br4, the PBE geometry in Alexandria gives the calculated powder X-ray diffraction pattern in this record (Cu Kα, 1.54184 Å).

Atomic structure:
a = 14.101 Å, b = 8.130 Å, c = 9.106 Å
α = 90.00°, β = 121.17°, γ = 90.00°
Space group C2/m (No. 12)
Asymmetric unit:
Pm (0.018, 0.248, 0.304)
Pm (0.231, 0.000, 0.696)
Pm (0.233, 0.500, 0.699)
Co (0.000, 0.000, 0.500)
Os (0.000, 0.500, 0.500)
Os (0.250, 0.250, 0.500)
Br (0.000, 0.000, 0.000)
Br (0.000, 0.500, 0.000)
Br (0.250, 0.250, 0.000)

Most intense lines, 10 to 90 degrees two-theta, in order of falling intensity:
two_theta  I (rel.)
29.61  100
44.55  37
11.36  34
40.10  31
54.40  18
37.10  17
61.47  12
72.84  11
50.14  11
77.09  7

For NdHo3Mg4, the PBE geometry in Alexandria gives the calculated powder X-ray diffraction pattern in this record (Cu Kα, 1.54184 Å).

Atomic structure:
a = 5.371 Å, b = 5.371 Å, c = 7.619 Å
α = 90.00°, β = 90.00°, γ = 90.00°
Space group P4/mmm (No. 123)
Asymmetric unit:
Nd (0.000, 0.000, 0.000)
Ho (0.000, 0.000, 0.500)
Ho (0.500, 0.500, 0.000)
Ho (0.500, 0.500, 0.500)
Mg (0.000, 0.500, 0.254)

Most intense lines, 10 to 90 degrees two-theta, in order of falling intensity:
two_theta  I (rel.)
33.33  100
23.40  63
59.56  38
41.12  19
53.97  18
47.90  12
79.85  11
74.94  10
53.85  9
69.95  8

For ErAlRu2C, the PBE geometry in Alexandria gives the calculated powder X-ray diffraction pattern in this record (Cu Kα, 1.54184 Å).

Atomic structure:
a = 3.859 Å, b = 11.228 Å, c = 7.245 Å
α = 90.00°, β = 90.00°, γ = 90.00°
Space group Cmcm (No. 63)
Asymmetric unit:
Er (0.000, 0.047, 0.250)
Al (0.000, 0.230, 0.750)
Ru (0.000, 0.338, 0.055)
C (0.000, 0.500, 0.000)

Most intense lines, 10 to 90 degrees two-theta, in order of falling intensity:
two_theta  I (rel.)
34.90  100
33.35  73
40.67  44
34.26  40
35.64  36
29.34  36
61.27  28
47.09  27
63.94  23
27.36  19

For TbThSbTe, the PBE geometry in Alexandria gives the calculated powder X-ray diffraction pattern in this record (Cu Kα, 1.54184 Å).

Atomic structure:
a = 4.442 Å, b = 4.442 Å, c = 6.290 Å
α = 90.00°, β = 90.00°, γ = 90.00°
Space group P4/mmm (No. 123)
Asymmetric unit:
Tb (0.000, 0.000, 0.000)
Th (0.500, 0.500, 0.500)
Sb (0.500, 0.500, 0.000)
Te (0.000, 0.000, 0.500)

Most intense lines, 10 to 90 degrees two-theta, in order of falling intensity:
two_theta  I (rel.)
28.40  100
40.60  77
66.53  36
50.29  28
73.87  27
58.76  13
87.87  9
24.53  9
48.01  5
64.64  2